This entry pairs a crystal structure of K2Bi8Se13 with its simulated powder XRD pattern. Radiation: Cu Kα. Structure: a PBE-relaxed structure.
Peak positions follow from Bragg's law for the DFT cell and can differ from measured ones.

Peak list (10 most intense, 2θ from 10° to 90°, sorted by position)
d_spacing	Position (°2θ)	I_rel
6.001	14.8	55
3.715	24.0	53
3.549	25.1	42
3.269	27.3	62
3.069	29.1	62
3.058	29.2	53
3.014	29.6	100
2.154	41.9	44
2.123	42.6	68
2.094	43.2	41

Cell and atoms:
Lattice parameters (Å, degrees): 17.784 4.247 18.834 90.00 92.62 90.00
Fractional coordinates of all 46 atoms:
K  0.010  0.250  0.352
K  0.251  0.750  0.730
K  0.749  0.250  0.270
K  0.990  0.750  0.648
Bi  0.008  0.750  0.100
Bi  0.168  0.250  0.533
Bi  0.193  0.750  0.951
Bi  0.222  0.250  0.180
Bi  0.326  0.750  0.371
Bi  0.393  0.250  0.983
Bi  0.421  0.250  0.570
Bi  0.485  0.250  0.246
Bi  0.515  0.750  0.754
Bi  0.579  0.750  0.430
Bi  0.607  0.750  0.017
Bi  0.674  0.250  0.629
Bi  0.778  0.750  0.820
Bi  0.807  0.250  0.049
Bi  0.832  0.750  0.467
Bi  0.992  0.250  0.900
Se  0.065  0.750  0.830
Se  0.075  0.750  0.486
Se  0.113  0.250  0.034
Se  0.122  0.750  0.213
Se  0.131  0.250  0.666
Se  0.222  0.250  0.334
Se  0.271  0.250  0.878
Se  0.309  0.750  0.060
Se  0.314  0.750  0.545
Se  0.363  0.750  0.228
Se  0.405  0.250  0.720
Se  0.452  0.250  0.402
Se  0.472  0.750  0.906
Se  0.528  0.250  0.094
Se  0.548  0.750  0.598
Se  0.595  0.750  0.280
Se  0.637  0.250  0.772
Se  0.686  0.250  0.455
Se  0.691  0.250  0.940
Se  0.729  0.750  0.122
Se  0.778  0.750  0.666
Se  0.869  0.750  0.334
Se  0.878  0.250  0.787
Se  0.887  0.750  0.966
Se  0.925  0.250  0.514
Se  0.935  0.250  0.170


This entry pairs a crystal structure of KTl2Bi with its simulated powder XRD pattern. Radiation: Cu Kα. Structure: a PBE-relaxed structure.
Peak positions follow from Bragg's law for the DFT cell and can differ from measured ones.

Peak list (10 most intense, 2θ from 10° to 90°, sorted by position)
d_spacing	Position (°2θ)	I_rel
4.725	18.8	14
4.092	21.7	6
2.893	30.9	100
2.467	36.4	9
2.046	44.3	19
1.670	55.0	40
1.447	64.4	13
1.294	73.1	17
1.181	81.5	4
1.094	89.7	22

Cell and atoms:
Lattice parameters (Å, degrees): 8.183 8.183 8.183 90.00 90.00 90.00
Fractional coordinates of all 16 atoms:
K  0.000  0.000  0.000
K  0.000  0.500  0.500
K  0.500  0.000  0.500
K  0.500  0.500  0.000
Tl  0.250  0.250  0.250
Tl  0.250  0.250  0.750
Tl  0.250  0.750  0.250
Tl  0.250  0.750  0.750
Tl  0.750  0.250  0.250
Tl  0.750  0.250  0.750
Tl  0.750  0.750  0.250
Tl  0.750  0.750  0.750
Bi  0.000  0.000  0.500
Bi  0.000  0.500  0.000
Bi  0.500  0.000  0.000
Bi  0.500  0.500  0.500


This entry pairs a crystal structure of LaBi3 with its simulated powder XRD pattern. Radiation: Cu Kα. Structure: a PBE-relaxed structure.
Peak positions follow from Bragg's law for the DFT cell and can differ from measured ones.

Peak list (10 most intense, 2θ from 10° to 90°, sorted by position)
d_spacing	Position (°2θ)	I_rel
5.026	17.6	2
3.554	25.1	2
2.902	30.8	100
2.513	35.7	51
1.777	51.4	37
1.515	61.2	44
1.451	64.2	13
1.257	75.7	6
1.153	83.9	19
1.124	86.6	18

Cell and atoms:
Lattice parameters (Å, degrees): 5.026 5.026 5.026 90.00 90.00 90.00
Fractional coordinates of all 4 atoms:
La  0.000  0.000  0.000
Bi  0.000  0.500  0.500
Bi  0.500  0.000  0.500
Bi  0.500  0.500  0.000


This entry pairs a crystal structure of LaBi with its simulated powder XRD pattern. Radiation: Cu Kα. Structure: a PBE-relaxed structure.
Peak positions follow from Bragg's law for the DFT cell and can differ from measured ones.

Peak list (10 most intense, 2θ from 10° to 90°, sorted by position)
d_spacing	Position (°2θ)	I_rel
3.851	23.1	7
3.335	26.7	100
2.358	38.2	79
2.011	45.1	4
1.925	47.2	29
1.667	55.1	14
1.491	62.3	39
1.361	69.0	29
1.179	81.7	9
1.112	87.8	20

Cell and atoms:
Lattice parameters (Å, degrees): 6.670 6.670 6.670 90.00 90.00 90.00
Fractional coordinates of all 8 atoms:
La  0.000  0.000  0.000
La  0.000  0.500  0.500
La  0.500  0.000  0.500
La  0.500  0.500  0.000
Bi  0.000  0.000  0.500
Bi  0.000  0.500  0.000
Bi  0.500  0.000  0.000
Bi  0.500  0.500  0.500


This entry pairs a crystal structure of La5Bi3 with its simulated powder XRD pattern. Radiation: Cu Kα. Structure: a PBE-relaxed structure.
Peak positions follow from Bragg's law for the DFT cell and can differ from measured ones.

Peak list (10 most intense, 2θ from 10° to 90°, sorted by position)
d_spacing	Position (°2θ)	I_rel
3.329	26.8	27
3.198	27.9	20
2.883	31.0	100
2.820	31.7	69
2.751	32.5	84
2.213	40.8	25
1.969	46.1	21
1.823	50.0	27
1.508	61.5	19
1.434	65.1	18

Cell and atoms:
Lattice parameters (Å, degrees): 9.769 9.769 6.659 90.00 90.00 120.00
Fractional coordinates of all 16 atoms:
La  0.000  0.252  0.250
La  0.000  0.748  0.750
La  0.252  0.000  0.250
La  0.252  0.252  0.750
La  0.333  0.667  0.000
La  0.333  0.667  0.500
La  0.667  0.333  0.000
La  0.667  0.333  0.500
La  0.748  0.000  0.750
La  0.748  0.748  0.250
Bi  0.000  0.384  0.750
Bi  0.000  0.616  0.250
Bi  0.384  0.000  0.750
Bi  0.384  0.384  0.250
Bi  0.616  0.000  0.250
Bi  0.616  0.616  0.750


This entry pairs a crystal structure of La2Bi with its simulated powder XRD pattern. Radiation: Cu Kα. Structure: a PBE-relaxed structure.
Peak positions follow from Bragg's law for the DFT cell and can differ from measured ones.

Peak list (10 most intense, 2θ from 10° to 90°, sorted by position)
d_spacing	Position (°2θ)	I_rel
3.346	26.6	28
3.147	28.4	74
3.087	28.9	35
2.917	30.6	29
2.712	33.0	100
2.366	38.0	60
1.878	48.5	34
1.673	54.9	21
1.653	55.6	20
1.424	65.6	28

Cell and atoms:
Lattice parameters (Å, degrees): 4.732 4.732 18.522 90.00 90.00 90.00
Fractional coordinates of all 12 atoms:
La  0.000  0.000  0.178
La  0.000  0.000  0.822
La  0.000  0.500  0.000
La  0.000  0.500  0.500
La  0.500  0.000  0.000
La  0.500  0.000  0.500
La  0.500  0.500  0.322
La  0.500  0.500  0.678
Bi  0.000  0.000  0.362
Bi  0.000  0.000  0.638
Bi  0.500  0.500  0.138
Bi  0.500  0.500  0.862


This entry pairs a crystal structure of La4Bi3 with its simulated powder XRD pattern. Radiation: Cu Kα. Structure: a PBE-relaxed structure.
Peak positions follow from Bragg's law for the DFT cell and can differ from measured ones.

Peak list (10 most intense, 2θ from 10° to 90°, sorted by position)
d_spacing	Position (°2θ)	I_rel
4.041	22.0	16
3.130	28.5	100
2.645	33.9	67
2.213	40.8	22
2.110	42.9	15
2.021	44.9	13
1.941	46.8	19
1.606	57.4	32
1.527	60.6	16
1.347	69.8	21

Cell and atoms:
Lattice parameters (Å, degrees): 8.572 8.572 8.572 109.47 109.47 109.47
Fractional coordinates of all 14 atoms:
La  0.000  0.147  0.500
La  0.000  0.647  0.500
La  0.147  0.500  0.000
La  0.353  0.353  0.353
La  0.500  0.000  0.147
La  0.500  0.000  0.647
La  0.647  0.500  0.000
La  0.853  0.853  0.853
Bi  0.125  0.875  0.250
Bi  0.250  0.125  0.875
Bi  0.375  0.625  0.750
Bi  0.625  0.750  0.375
Bi  0.750  0.375  0.625
Bi  0.875  0.250  0.125


This entry pairs a crystal structure of LaMg14Bi with its simulated powder XRD pattern. Radiation: Cu Kα. Structure: a PBE-relaxed structure.
Peak positions follow from Bragg's law for the DFT cell and can differ from measured ones.

Peak list (10 most intense, 2θ from 10° to 90°, sorted by position)
d_spacing	Position (°2θ)	I_rel
5.749	15.4	39
5.266	16.8	34
5.046	17.6	60
3.883	22.9	35
2.839	31.5	34
2.774	32.3	29
2.741	32.7	29
2.633	34.0	36
2.523	35.6	51
2.499	35.9	100

Cell and atoms:
Lattice parameters (Å, degrees): 10.532 6.611 6.611 59.19 90.00 90.00
Fractional coordinates of all 16 atoms:
La  0.000  0.000  0.000
Mg  0.000  0.005  0.496
Mg  0.000  0.496  0.005
Mg  0.251  0.670  0.670
Mg  0.257  0.170  0.170
Mg  0.260  0.165  0.664
Mg  0.260  0.664  0.165
Mg  0.500  0.000  0.501
Mg  0.500  0.001  0.001
Mg  0.500  0.501  0.000
Mg  0.500  0.501  0.501
Mg  0.740  0.165  0.664
Mg  0.740  0.664  0.165
Mg  0.743  0.170  0.170
Mg  0.749  0.670  0.670
Bi  0.000  0.499  0.499